Entry 1:
Simulated powder X-ray diffraction pattern
Compound: Na3AlN2
Radiation: Cu Kα
Structure: a cell relaxed with PBE
Peak positions follow from Bragg's law for the DFT cell and can differ from measured ones.

Peak list (10 most intense, 2θ = 10–90°, low angle first)
2θ = 26.25°, d = 3.395 Å, I = 23.6; 2θ = 29.96°, d = 2.982 Å, I = 27.4; 2θ = 31.13°, d = 2.873 Å, I = 62.9; 2θ = 31.71°, d = 2.822 Å, I = 50.8; 2θ = 35.09°, d = 2.557 Å, I = 50.1; 2θ = 35.94°, d = 2.499 Å, I = 100.0; 2θ = 37.02°, d = 2.428 Å, I = 56.3; 2θ = 39.94°, d = 2.257 Å, I = 38.7; 2θ = 40.26°, d = 2.240 Å, I = 45.6; 2θ = 47.03°, d = 1.932 Å, I = 27.1

Structural model:
a b c (Å): 6.529 8.417 8.644
angles (deg): 90.00 118.33 90.00
Atoms (fractional coordinates):
1 Na 0.247 0.005 0.379
2 Na 0.247 0.495 0.879
3 Na 0.249 0.001 0.001
4 Na 0.249 0.499 0.501
5 Na 0.251 0.203 0.684
6 Na 0.251 0.297 0.184
7 Na 0.749 0.703 0.816
8 Na 0.749 0.797 0.316
9 Na 0.751 0.501 0.499
10 Na 0.751 0.999 0.999
11 Na 0.753 0.505 0.121
12 Na 0.753 0.995 0.621
13 Al 0.231 0.682 0.186
14 Al 0.231 0.818 0.686
15 Al 0.769 0.182 0.314
16 Al 0.769 0.318 0.814
17 N 0.018 0.216 0.841
18 N 0.018 0.284 0.341
19 N 0.457 0.554 0.211
20 N 0.457 0.946 0.711
21 N 0.543 0.054 0.289
22 N 0.543 0.446 0.789
23 N 0.982 0.716 0.659
24 N 0.982 0.784 0.159

***

Entry 2:
Simulated powder X-ray diffraction pattern
Compound: Na4Np3AlN8
Radiation: Cu Kα
Structure: a cell relaxed with PBE
Peak positions follow from Bragg's law for the DFT cell and can differ from measured ones.

Peak list (10 most intense, 2θ = 10–90°, low angle first)
2θ = 15.67°, d = 5.656 Å, I = 100.0; 2θ = 16.13°, d = 5.496 Å, I = 25.3; 2θ = 18.51°, d = 4.794 Å, I = 18.6; 2θ = 31.24°, d = 2.863 Å, I = 47.5; 2θ = 31.64°, d = 2.828 Å, I = 23.1; 2θ = 32.58°, d = 2.748 Å, I = 58.9; 2θ = 37.44°, d = 2.402 Å, I = 22.2; 2θ = 37.57°, d = 2.394 Å, I = 43.9; 2θ = 40.89°, d = 2.207 Å, I = 19.8; 2θ = 53.49°, d = 1.713 Å, I = 21.5

Structural model:
a b c (Å): 6.714 6.714 6.852
angles (deg): 119.29 119.29 59.83
Atoms (fractional coordinates):
1 Na 0.000 0.000 0.000
2 Na 0.000 0.500 0.000
3 Na 0.500 0.000 0.000
4 Na 0.500 0.500 0.000
5 Np 0.000 0.000 0.500
6 Np 0.000 0.500 0.500
7 Np 0.500 0.000 0.500
8 Al 0.500 0.500 0.500
9 N 0.227 0.728 0.683
10 N 0.229 0.229 0.686
11 N 0.270 0.270 0.316
12 N 0.272 0.773 0.317
13 N 0.728 0.227 0.683
14 N 0.730 0.730 0.684
15 N 0.771 0.771 0.314
16 N 0.773 0.272 0.317

***

Entry 3:
Simulated powder X-ray diffraction pattern
Compound: Na3U3AlN8
Radiation: Cu Kα
Structure: a cell relaxed with PBE
Peak positions follow from Bragg's law for the DFT cell and can differ from measured ones.

Peak list (10 most intense, 2θ = 10–90°, low angle first)
2θ = 15.71°, d = 5.642 Å, I = 100.0; 2θ = 18.41°, d = 4.820 Å, I = 21.9; 2θ = 30.95°, d = 2.889 Å, I = 48.0; 2θ = 31.72°, d = 2.821 Å, I = 20.3; 2θ = 32.31°, d = 2.771 Å, I = 51.7; 2θ = 37.31°, d = 2.410 Å, I = 58.3; 2θ = 40.71°, d = 2.216 Å, I = 19.5; 2θ = 48.82°, d = 1.865 Å, I = 19.0; 2θ = 54.18°, d = 1.693 Å, I = 20.2; 2θ = 56.78°, d = 1.621 Å, I = 23.3

Structural model:
a b c (Å): 6.864 6.864 6.864
angles (deg): 59.11 59.11 59.11
Atoms (fractional coordinates):
1 Na 0.000 0.500 0.500
2 Na 0.500 0.000 0.500
3 Na 0.500 0.500 0.000
4 U 0.000 0.000 0.500
5 U 0.000 0.500 0.000
6 U 0.500 0.000 0.000
7 Al 0.500 0.500 0.500
8 N 0.224 0.724 0.724
9 N 0.229 0.229 0.229
10 N 0.276 0.276 0.776
11 N 0.276 0.776 0.276
12 N 0.724 0.224 0.724
13 N 0.724 0.724 0.224
14 N 0.771 0.771 0.771
15 N 0.776 0.276 0.276

***

Entry 4:
Simulated powder X-ray diffraction pattern
Compound: Nb3Al3N
Radiation: Cu Kα
Structure: a cell relaxed with PBE
Peak positions follow from Bragg's law for the DFT cell and can differ from measured ones.

Peak list (10 most intense, 2θ = 10–90°, low angle first)
2θ = 13.02°, d = 6.802 Å, I = 29.0; 2θ = 30.35°, d = 2.945 Å, I = 25.2; 2θ = 33.15°, d = 2.703 Å, I = 30.1; 2θ = 37.39°, d = 2.405 Å, I = 60.7; 2θ = 39.76°, d = 2.267 Å, I = 100.0; 2θ = 43.45°, d = 2.083 Å, I = 35.6; 2θ = 55.72°, d = 1.650 Å, I = 15.5; 2θ = 60.35°, d = 1.534 Å, I = 16.0; 2θ = 67.45°, d = 1.388 Å, I = 48.2; 2θ = 81.25°, d = 1.184 Å, I = 14.8

Structural model:
a b c (Å): 8.331 8.331 8.331
angles (deg): 60.00 60.00 60.00
Atoms (fractional coordinates):
1 Nb 0.069 0.069 0.681
2 Nb 0.069 0.681 0.069
3 Nb 0.069 0.681 0.681
4 Nb 0.319 0.319 0.931
5 Nb 0.319 0.931 0.319
6 Nb 0.319 0.931 0.931
7 Nb 0.681 0.069 0.069
8 Nb 0.681 0.069 0.681
9 Nb 0.681 0.681 0.069
10 Nb 0.931 0.319 0.319
11 Nb 0.931 0.319 0.931
12 Nb 0.931 0.931 0.319
13 Al 0.000 0.500 0.500
14 Al 0.287 0.287 0.287
15 Al 0.287 0.287 0.639
16 Al 0.287 0.639 0.287
17 Al 0.361 0.713 0.713
18 Al 0.500 0.000 0.500
19 Al 0.500 0.500 0.000
20 Al 0.500 0.500 0.500
21 Al 0.639 0.287 0.287
22 Al 0.713 0.361 0.713
23 Al 0.713 0.713 0.361
24 Al 0.713 0.713 0.713
25 N 0.000 0.000 0.000
26 N 0.000 0.000 0.500
27 N 0.000 0.500 0.000
28 N 0.500 0.000 0.000

***

Entry 5:
Simulated powder X-ray diffraction pattern
Compound: Nb4Al2N
Radiation: Cu Kα
Structure: a cell relaxed with PBE
Peak positions follow from Bragg's law for the DFT cell and can differ from measured ones.

Peak list (10 most intense, 2θ = 10–90°, low angle first)
2θ = 32.60°, d = 2.747 Å, I = 51.0; 2θ = 36.77°, d = 2.444 Å, I = 50.9; 2θ = 39.09°, d = 2.304 Å, I = 100.0; 2θ = 42.72°, d = 2.117 Å, I = 56.7; 2θ = 59.28°, d = 1.559 Å, I = 12.2; 2θ = 63.61°, d = 1.463 Å, I = 16.0; 2θ = 66.23°, d = 1.411 Å, I = 40.6; 2θ = 67.78°, d = 1.383 Å, I = 15.7; 2θ = 79.68°, d = 1.203 Å, I = 15.6; 2θ = 83.52°, d = 1.158 Å, I = 11.8

Structural model:
a b c (Å): 8.467 8.467 8.467
angles (deg): 60.00 60.00 60.00
Atoms (fractional coordinates):
1 Nb 0.000 0.000 0.000
2 Nb 0.000 0.000 0.500
3 Nb 0.000 0.500 0.000
4 Nb 0.182 0.182 0.568
5 Nb 0.182 0.568 0.182
6 Nb 0.182 0.568 0.568
7 Nb 0.432 0.432 0.818
8 Nb 0.432 0.818 0.432
9 Nb 0.432 0.818 0.818
10 Nb 0.500 0.000 0.000
11 Nb 0.568 0.182 0.182
12 Nb 0.568 0.182 0.568
13 Nb 0.568 0.568 0.182
14 Nb 0.818 0.432 0.432
15 Nb 0.818 0.432 0.818
16 Nb 0.818 0.818 0.432
17 Al 0.144 0.785 0.785
18 Al 0.215 0.215 0.215
19 Al 0.215 0.215 0.856
20 Al 0.215 0.856 0.215
21 Al 0.785 0.144 0.785
22 Al 0.785 0.785 0.144
23 Al 0.785 0.785 0.785
24 Al 0.856 0.215 0.215
25 N 0.000 0.500 0.500
26 N 0.500 0.000 0.500
27 N 0.500 0.500 0.000
28 N 0.500 0.500 0.500

***

Entry 6:
Simulated powder X-ray diffraction pattern
Compound: NbAl2PbN
Radiation: Cu Kα
Structure: a cell relaxed with PBE
Peak positions follow from Bragg's law for the DFT cell and can differ from measured ones.

Peak list (10 most intense, 2θ = 10–90°, low angle first)
2θ = 17.35°, d = 5.110 Å, I = 100.0; 2θ = 24.00°, d = 3.708 Å, I = 16.9; 2θ = 24.64°, d = 3.613 Å, I = 36.6; 2θ = 33.25°, d = 2.694 Å, I = 17.3; 2θ = 35.12°, d = 2.555 Å, I = 29.8; 2θ = 37.74°, d = 2.383 Å, I = 29.8; 2θ = 39.43°, d = 2.285 Å, I = 26.5; 2θ = 41.82°, d = 2.160 Å, I = 18.3; 2θ = 49.14°, d = 1.854 Å, I = 22.8; 2θ = 52.51°, d = 1.743 Å, I = 23.5

Structural model:
a b c (Å): 5.110 5.110 5.389
angles (deg): 90.00 90.00 90.00
Atoms (fractional coordinates):
1 Nb 0.000 0.000 0.000
2 Al 0.000 0.500 0.500
3 Al 0.500 0.000 0.500
4 Pb 0.000 0.000 0.500
5 N 0.500 0.500 0.000

***

Entry 7:
Simulated powder X-ray diffraction pattern
Compound: Nd2AlNO3
Radiation: Cu Kα
Structure: a cell relaxed with PBE
Peak positions follow from Bragg's law for the DFT cell and can differ from measured ones.

Peak list (10 most intense, 2θ = 10–90°, low angle first)
2θ = 24.87°, d = 3.581 Å, I = 50.6; 2θ = 28.32°, d = 3.151 Å, I = 22.3; 2θ = 32.07°, d = 2.791 Å, I = 100.0; 2θ = 33.95°, d = 2.641 Å, I = 62.3; 2θ = 44.78°, d = 2.024 Å, I = 43.8; 2θ = 48.77°, d = 1.867 Å, I = 31.6; 2θ = 55.93°, d = 1.644 Å, I = 14.4; 2θ = 56.76°, d = 1.622 Å, I = 18.4; 2θ = 59.57°, d = 1.552 Å, I = 35.8; 2θ = 78.04°, d = 1.224 Å, I = 14.7

Structural model:
a b c (Å): 6.833 6.833 6.833
angles (deg): 148.28 148.28 45.47
Atoms (fractional coordinates):
1 Nd 0.000 0.000 0.000
2 Nd 0.289 0.289 0.000
3 Al 0.637 0.637 0.000
4 N 0.477 0.477 0.000
5 O 0.151 0.651 0.500
6 O 0.651 0.151 0.500
7 O 0.811 0.811 0.000

***

Entry 8:
Simulated powder X-ray diffraction pattern
Compound: NdY12Al4N3
Radiation: Cu Kα
Structure: a cell relaxed with PBE
Peak positions follow from Bragg's law for the DFT cell and can differ from measured ones.

Peak list (10 most intense, 2θ = 10–90°, low angle first)
2θ = 18.00°, d = 4.928 Å, I = 62.4; 2θ = 28.64°, d = 3.116 Å, I = 12.8; 2θ = 31.45°, d = 2.845 Å, I = 100.0; 2θ = 34.04°, d = 2.634 Å, I = 17.9; 2θ = 36.47°, d = 2.464 Å, I = 93.1; 2θ = 40.95°, d = 2.204 Å, I = 25.3; 2θ = 52.53°, d = 1.742 Å, I = 60.2; 2θ = 62.52°, d = 1.486 Å, I = 35.3; 2θ = 65.63°, d = 1.422 Å, I = 19.1; 2θ = 88.80°, d = 1.102 Å, I = 23.2

Structural model:
a b c (Å): 8.535 8.535 8.535
angles (deg): 109.47 109.47 109.47
Atoms (fractional coordinates):
1 Nd 0.000 0.000 0.000
2 Y 0.000 0.274 0.274
3 Y 0.000 0.726 0.726
4 Y 0.250 0.500 0.750
5 Y 0.250 0.750 0.500
6 Y 0.274 0.000 0.274
7 Y 0.274 0.274 0.000
8 Y 0.500 0.250 0.750
9 Y 0.500 0.750 0.250
10 Y 0.726 0.000 0.726
11 Y 0.726 0.726 0.000
12 Y 0.750 0.250 0.500
13 Y 0.750 0.500 0.250
14 Al 0.000 0.000 0.500
15 Al 0.000 0.500 0.000
16 Al 0.500 0.000 0.000
17 Al 0.500 0.500 0.500
18 N 0.000 0.500 0.500
19 N 0.500 0.000 0.500
20 N 0.500 0.500 0.000